Record 1
# Na5MgSbO5
Calculated PXRD pattern, Cu Kα (λ = 1.5418 Å). Input: a cell relaxed with GGA-PBE.
Neutral-atom scattering factors, no anomalous dispersion.

Unit cell a=5.8337 b=6.0264 c=6.4542 alpha=74.47 beta=88.99 gamma=61.91
Space group P1 (No. 1)
One atom of each set of equivalent atoms:
Na (0.0000, 0.0000, 0.0000) (multiplicity 1)
Na (0.0373, 0.5144, 0.8655) (multiplicity 1)
Na (0.4999, 0.3862, 0.1753) (multiplicity 1)
Na (0.5692, 0.4007, 0.6168) (multiplicity 1)
Na (0.8606, 0.6569, 0.3601) (multiplicity 1)
Mg (0.4648, 0.9574, 0.8196) (multiplicity 1)
Sb (0.1777, 0.0065, 0.4698) (multiplicity 1)
O (0.0428, 0.2503, 0.6645) (multiplicity 1)
O (0.2321, 0.7253, 0.3396) (multiplicity 1)
O (0.3078, 0.7256, 0.7823) (multiplicity 1)
O (0.5179, 0.0041, 0.4894) (multiplicity 1)
O (0.9419, 0.2966, 0.2149) (multiplicity 1)

Top 10 peaks for 2θ from 10° to 90°, in order of rising 2θ:
(0 0 1), d 6.168, 2θ = 14.4°, intensity 77
(1 0 0), d 5.096, 2θ = 17.4°, intensity 100
(1 1 0), d 5.013, 2θ = 17.7°, intensity 64
(0 1 1), d 4.650, 2θ = 19.1°, intensity 31
(1 0 -1), d 4.205, 2θ = 21.1°, intensity 32
(1 1 -1), d 3.610, 2θ = 24.7°, intensity 32
(-1 1 1), d 2.961, 2θ = 30.2°, intensity 42
(2 1 0), d 2.916, 2θ = 30.7°, intensity 30
(0 1 -2), d 2.348, 2θ = 38.3°, intensity 33
(0 2 2), d 2.325, 2θ = 38.7°, intensity 29

***

Record 2
# Na7MgSbO6
Calculated PXRD pattern, Cu Kα (λ = 1.5418 Å). Input: a cell relaxed with GGA-PBE.
Neutral-atom scattering factors, no anomalous dispersion.

Unit cell a=6.3713 b=6.5152 c=6.6638 alpha=87.61 beta=67.19 gamma=66.43
Space group P1 (No. 1)
One atom of each set of equivalent atoms:
Na (0.0000, 0.0000, 0.0000) (multiplicity 1)
Na (0.0130, 0.3469, 0.6497) (multiplicity 1)
Na (0.3430, 0.1920, 0.8951) (multiplicity 1)
Na (0.4085, 0.5762, 0.6985) (multiplicity 1)
Na (0.5001, 0.4159, 0.2350) (multiplicity 1)
Na (0.6131, 0.7051, 0.9428) (multiplicity 1)
Na (0.9819, 0.9225, 0.4419) (multiplicity 1)
Mg (0.9969, 0.5078, 0.2308) (multiplicity 1)
Sb (0.5005, 0.9575, 0.3928) (multiplicity 1)
O (0.2089, 0.9380, 0.6308) (multiplicity 1)
O (0.2295, 0.6598, 0.0869) (multiplicity 1)
O (0.2591, 0.2002, 0.2676) (multiplicity 1)
O (0.5328, 0.2015, 0.5334) (multiplicity 1)
O (0.7536, 0.6801, 0.5386) (multiplicity 1)
O (0.8975, 0.3949, 0.0234) (multiplicity 1)

Top 10 peaks for 2θ from 10° to 90°, in order of rising 2θ:
(0 0 1), d 6.087, 2θ = 14.6°, intensity 68
(1 0 0), d 5.339, 2θ = 16.6°, intensity 41
(1 1 0), d 5.184, 2θ = 17.1°, intensity 100
(1 1 1), d 4.624, 2θ = 19.2°, intensity 51
(0 1 -1), d 4.560, 2θ = 19.5°, intensity 38
(2 0 0), d 2.667, 2θ = 33.6°, intensity 43
(2 2 0), d 2.590, 2θ = 34.6°, intensity 58
(0 1 2), d 2.570, 2θ = 34.9°, intensity 32
(1 -2 1), d 2.299, 2θ = 39.2°, intensity 37
(2 1 -2), d 1.798, 2θ = 50.8°, intensity 46

***

Record 3
# NaMg6SbO8
Calculated PXRD pattern, Cu Kα (λ = 1.5418 Å). Input: a cell relaxed with GGA-PBE.
Neutral-atom scattering factors, no anomalous dispersion.

Unit cell a=4.4390 b=4.4390 c=8.9012 alpha=90.00 beta=90.00 gamma=90.00
Space group P4/mmm (No. 123)
One atom of each set of equivalent atoms:
Na (0.0000, 0.0000, 0.0000) (multiplicity 1)
Mg (0.0000, 0.5000, 0.2282) (multiplicity 4)
Mg (0.5000, 0.5000, 0.0000) (multiplicity 1)
Mg (0.5000, 0.5000, 0.5000) (multiplicity 1)
Sb (0.0000, 0.0000, 0.5000) (multiplicity 1)
O (0.0000, 0.0000, 0.2508) (multiplicity 2)
O (0.0000, 0.5000, 0.0000) (multiplicity 2)
O (0.0000, 0.5000, 0.5000) (multiplicity 2)
O (0.5000, 0.5000, 0.2532) (multiplicity 2)

Top 10 peaks for 2θ from 10° to 90°, in order of rising 2θ:
(0 0 2), d 4.443, 2θ = 20.0°, intensity 46
(1 0 1), d 3.972, 2θ = 22.4°, intensity 48
(1 1 0), d 3.142, 2θ = 28.4°, intensity 38
(0 0 3), d 2.962, 2θ = 30.2°, intensity 42
(1 1 2), d 2.565, 2θ = 35.0°, intensity 44
(0 0 4), d 2.225, 2θ = 40.5°, intensity 47
(2 0 0), d 2.220, 2θ = 40.6°, intensity 100
(1 1 4), d 1.814, 2θ = 50.3°, intensity 17
(2 2 0), d 1.571, 2θ = 58.8°, intensity 85
(2 2 4), d 1.283, 2θ = 73.9°, intensity 25

***

Record 4
# Na5MgSbO5
Calculated PXRD pattern, Cu Kα (λ = 1.5418 Å). Input: a cell relaxed with GGA-PBE.
Neutral-atom scattering factors, no anomalous dispersion.

Unit cell a=5.3617 b=5.8326 c=6.7058 alpha=79.58 beta=86.92 gamma=72.84
Space group P1 (No. 1)
One atom of each set of equivalent atoms:
Na (0.0000, 0.0000, 0.0000) (multiplicity 1)
Na (0.0420, 0.8692, 0.5618) (multiplicity 1)
Na (0.4631, 0.1325, 0.7050) (multiplicity 1)
Na (0.5402, 0.2014, 0.2426) (multiplicity 1)
Na (0.7098, 0.5976, 0.8244) (multiplicity 1)
Mg (0.4511, 0.7917, 0.2875) (multiplicity 1)
Sb (0.9561, 0.4174, 0.3962) (multiplicity 1)
O (0.1348, 0.1084, 0.2801) (multiplicity 1)
O (0.2755, 0.5278, 0.3900) (multiplicity 1)
O (0.5954, 0.8941, 0.0197) (multiplicity 1)
O (0.6546, 0.8203, 0.5119) (multiplicity 1)
O (0.9787, 0.2511, 0.6855) (multiplicity 1)

Top 10 peaks for 2θ from 10° to 90°, in order of rising 2θ:
(0 0 1), d 6.595, 2θ = 13.4°, intensity 100
(1 0 0), d 5.123, 2θ = 17.3°, intensity 24
(0 1 1), d 4.631, 2θ = 19.2°, intensity 25
(1 1 0), d 4.444, 2θ = 20.0°, intensity 39
(1 0 1), d 4.046, 2θ = 22.0°, intensity 31
(0 1 -1), d 3.900, 2θ = 22.8°, intensity 22
(1 2 0), d 2.775, 2θ = 32.3°, intensity 33
(0 1 -2), d 2.633, 2θ = 34.1°, intensity 36
(-1 2 1), d 2.150, 2θ = 42.0°, intensity 23
(0 1 4), d 1.662, 2θ = 55.3°, intensity 21

***

Record 5
# Na7MgSbO6
Calculated PXRD pattern, Cu Kα (λ = 1.5418 Å). Input: a cell relaxed with GGA-PBE.
Neutral-atom scattering factors, no anomalous dispersion.

Unit cell a=6.5336 b=6.5336 c=18.6151 alpha=90.00 beta=90.00 gamma=120.00
Space group R3 (No. 146, hexagonal axes)
One atom of each set of equivalent atoms:
Na (0.0000, 0.0000, 0.0000) (multiplicity 3)
Na (0.0531, 0.7167, 0.1015) (multiplicity 9)
Na (0.0594, 0.3468, 0.5356) (multiplicity 9)
Mg (0.0000, 0.0000, 0.7072) (multiplicity 3)
Sb (0.0000, 0.0000, 0.2921) (multiplicity 3)
O (0.0022, 0.7291, 0.2375) (multiplicity 9)
O (0.0146, 0.2934, 0.7379) (multiplicity 9)

Top 10 peaks for 2θ from 10° to 90°, in order of rising 2θ:
(1 0 1), d 5.414, 2θ = 16.4°, intensity 61
(0 1 2), d 4.835, 2θ = 18.3°, intensity 71
(1 0 4), d 3.594, 2θ = 24.8°, intensity 43
(0 1 5), d 3.109, 2θ = 28.7°, intensity 43
(1 1 3), d 2.891, 2θ = 30.9°, intensity 100
(2 0 2), d 2.707, 2θ = 33.1°, intensity 22
(1 0 7), d 2.407, 2θ = 37.4°, intensity 30
(2 -1 6), d 2.250, 2θ = 40.1°, intensity 51
(3 -1 1), d 2.125, 2θ = 42.6°, intensity 23
(3 0 0), d 1.886, 2θ = 48.3°, intensity 45

***

Record 6
# Na2MgSb2O6
Calculated PXRD pattern, Cu Kα (λ = 1.5418 Å). Input: a cell relaxed with GGA-PBE.
Neutral-atom scattering factors, no anomalous dispersion.

Unit cell a=5.5891 b=5.5891 c=17.0742 alpha=90.00 beta=90.00 gamma=120.00
Space group R-3 (No. 148, hexagonal axes)
One atom of each set of equivalent atoms:
Na (0.0000, 0.0000, 0.1671) (multiplicity 6)
Mg (0.0000, 0.0000, 0.0000) (multiplicity 3)
Sb (0.0000, 0.0000, 0.3474) (multiplicity 6)
O (0.0156, 0.6470, 0.3961) (multiplicity 18)

Top 10 peaks for 2θ from 10° to 90°, in order of rising 2θ:
(0 0 3), d 5.691, 2θ = 15.6°, intensity 100
(1 0 1), d 4.657, 2θ = 19.1°, intensity 20
(0 1 2), d 4.211, 2θ = 21.1°, intensity 19
(1 0 4), d 3.201, 2θ = 27.9°, intensity 35
(1 1 0), d 2.795, 2θ = 32.0°, intensity 58
(1 1 3), d 2.508, 2θ = 35.8°, intensity 51
(0 2 4), d 2.105, 2θ = 43.0°, intensity 15
(1 1 6), d 1.994, 2θ = 45.5°, intensity 61
(3 0 0), d 1.613, 2θ = 57.1°, intensity 23
(0 3 3), d 1.552, 2θ = 59.6°, intensity 15

***

Record 7
# NaMg14SbO16
Calculated PXRD pattern, Cu Kα (λ = 1.5418 Å). Input: a cell relaxed with GGA-PBE.
Neutral-atom scattering factors, no anomalous dispersion.

Unit cell a=4.3585 b=8.6611 c=8.7138 alpha=90.00 beta=90.00 gamma=90.00
Space group Pmmm (No. 47)
One atom of each set of equivalent atoms:
Na (0.0000, 0.0000, 0.0000) (multiplicity 1)
Mg (0.0000, 0.2548, 0.2401) (multiplicity 4)
Mg (0.0000, 0.5000, 0.0000) (multiplicity 1)
Mg (0.0000, 0.5000, 0.5000) (multiplicity 1)
Mg (0.5000, 0.0000, 0.2327) (multiplicity 2)
Mg (0.5000, 0.2482, 0.0000) (multiplicity 2)
Mg (0.5000, 0.2613, 0.5000) (multiplicity 2)
Mg (0.5000, 0.5000, 0.2467) (multiplicity 2)
Sb (0.0000, 0.0000, 0.5000) (multiplicity 1)
O (0.0000, 0.0000, 0.2484) (multiplicity 2)
O (0.0000, 0.2645, 0.5000) (multiplicity 2)
O (0.0000, 0.2661, 0.0000) (multiplicity 2)
O (0.0000, 0.5000, 0.2521) (multiplicity 2)
O (0.5000, 0.0000, 0.0000) (multiplicity 1)
O (0.5000, 0.0000, 0.5000) (multiplicity 1)
O (0.5000, 0.2488, 0.2524) (multiplicity 4)
O (0.5000, 0.5000, 0.0000) (multiplicity 1)
O (0.5000, 0.5000, 0.5000) (multiplicity 1)

Top 10 peaks for 2θ from 10° to 90°, in order of rising 2θ:
(0 0 1), d 8.689, 2θ = 10.2°, intensity 34
(0 1 1), d 6.143, 2θ = 14.4°, intensity 18
(1 0 1), d 3.895, 2θ = 22.8°, intensity 20
(0 0 3), d 2.901, 2θ = 30.8°, intensity 20
(1 2 2), d 2.511, 2θ = 35.8°, intensity 30
(2 0 0), d 2.179, 2θ = 41.4°, intensity 100
(0 4 0), d 2.165, 2θ = 41.7°, intensity 49
(2 0 4), d 1.541, 2θ = 60.0°, intensity 29
(2 4 0), d 1.536, 2θ = 60.3°, intensity 56
(2 4 4), d 1.255, 2θ = 75.8°, intensity 25

***

Record 8
# Na2MgSb2O6
Calculated PXRD pattern, Cu Kα (λ = 1.5418 Å). Input: a cell relaxed with GGA-PBE.
Neutral-atom scattering factors, no anomalous dispersion.

Unit cell a=5.3835 b=5.5222 c=6.1809 alpha=81.96 beta=64.21 gamma=69.55
Space group P1 (No. 1)
One atom of each set of equivalent atoms:
Na (0.0000, 0.0000, 0.0000) (multiplicity 1)
Na (0.1931, 0.4561, 0.7339) (multiplicity 1)
Mg (0.2774, 0.9990, 0.3994) (multiplicity 1)
Sb (0.4749, 0.5062, 0.0818) (multiplicity 1)
Sb (0.8045, 0.5235, 0.4038) (multiplicity 1)
O (0.0894, 0.7365, 0.3355) (multiplicity 1)
O (0.1759, 0.2830, 0.1456) (multiplicity 1)
O (0.4337, 0.7592, 0.6340) (multiplicity 1)
O (0.5929, 0.3009, 0.3411) (multiplicity 1)
O (0.6836, 0.7487, 0.1485) (multiplicity 1)
O (0.9362, 0.2807, 0.6298) (multiplicity 1)

Top 10 peaks for 2θ from 10° to 90°, in order of rising 2θ:
(0 0 1), d 5.565, 2θ = 15.9°, intensity 54
(0 1 0), d 5.174, 2θ = 17.1°, intensity 100
(1 1 0), d 4.166, 2θ = 21.3°, intensity 21
(1 0 2), d 2.996, 2θ = 29.8°, intensity 30
(1 0 -1), d 2.983, 2θ = 30.0°, intensity 33
(1 1 -1), d 2.868, 2θ = 31.2°, intensity 26
(1 1 2), d 2.845, 2θ = 31.4°, intensity 24
(1 -1 2), d 2.397, 2θ = 37.5°, intensity 37
(-1 1 1), d 2.369, 2θ = 38.0°, intensity 37
(2 2 1), d 2.239, 2θ = 40.3°, intensity 36

***

Record 9
# Na2MgSb2O6
Calculated PXRD pattern, Cu Kα (λ = 1.5418 Å). Input: a cell relaxed with GGA-PBE.
Neutral-atom scattering factors, no anomalous dispersion.

Unit cell a=5.5786 b=5.5799 c=6.0936 alpha=117.10 beta=90.06 gamma=119.99
Space group P1 (No. 1)
One atom of each set of equivalent atoms:
Na (0.0000, 0.0000, 0.0000) (multiplicity 1)
Na (0.1438, 0.2907, 0.4327) (multiplicity 1)
Mg (0.3190, 0.6389, 0.9559) (multiplicity 1)
Sb (0.5212, 0.0440, 0.5630) (multiplicity 1)
Sb (0.8185, 0.6391, 0.4556) (multiplicity 1)
O (0.1020, 0.7748, 0.2567) (multiplicity 1)
O (0.1474, 0.7267, 0.6952) (multiplicity 1)
O (0.4838, 0.5890, 0.2573) (multiplicity 1)
O (0.5774, 0.5479, 0.6950) (multiplicity 1)
O (0.6704, 0.1566, 0.2573) (multiplicity 1)
O (0.9689, 0.1184, 0.6952) (multiplicity 1)

Top 10 peaks for 2θ from 10° to 90°, in order of rising 2θ:
(0 0 1), d 5.180, 2θ = 17.1°, intensity 100
(1 0 0), d 4.614, 2θ = 19.2°, intensity 39
(0 1 0), d 4.103, 2θ = 21.7°, intensity 26
(1 0 1), d 3.028, 2θ = 29.5°, intensity 60
(2 -1 0), d 2.790, 2θ = 32.1°, intensity 98
(1 1 -2), d 2.456, 2θ = 36.6°, intensity 76
(0 2 0), d 2.053, 2θ = 44.1°, intensity 23
(-1 2 1), d 1.900, 2θ = 47.9°, intensity 32
(1 1 -3), d 1.896, 2θ = 48.0°, intensity 35
(3 0 -1), d 1.611, 2θ = 57.2°, intensity 30

***

Record 10
# Na2MgSb2O6
Calculated PXRD pattern, Cu Kα (λ = 1.5418 Å). Input: a cell relaxed with GGA-PBE.
Neutral-atom scattering factors, no anomalous dispersion.

Unit cell a=5.7507 b=5.7507 c=15.9330 alpha=90.00 beta=90.00 gamma=120.00
Space group R-3 (No. 148, hexagonal axes)
One atom of each set of equivalent atoms:
Na (0.0000, 0.0000, 0.1144) (multiplicity 6)
Mg (0.0000, 0.0000, 0.5000) (multiplicity 3)
Sb (0.0000, 0.0000, 0.3186) (multiplicity 6)
O (0.0344, 0.6257, 0.0756) (multiplicity 18)

Top 10 peaks for 2θ from 10° to 90°, in order of rising 2θ:
(0 0 3), d 5.311, 2θ = 16.7°, intensity 77
(1 0 1), d 4.753, 2θ = 18.7°, intensity 63
(0 1 2), d 4.223, 2θ = 21.0°, intensity 56
(1 1 0), d 2.875, 2θ = 31.1°, intensity 100
(0 1 5), d 2.684, 2θ = 33.4°, intensity 69
(1 1 3), d 2.529, 2θ = 35.5°, intensity 66
(2 0 5), d 1.962, 2θ = 46.3°, intensity 41
(1 1 6), d 1.951, 2θ = 46.6°, intensity 54
(3 0 0), d 1.660, 2θ = 55.3°, intensity 33
(1 2 5), d 1.621, 2θ = 56.8°, intensity 37

***

Record 11
# NaMg6SbO8
Calculated PXRD pattern, Cu Kα (λ = 1.5418 Å). Input: a cell relaxed with GGA-PBE.
Neutral-atom scattering factors, no anomalous dispersion.

Unit cell a=4.4224 b=4.4224 c=8.8620 alpha=90.00 beta=90.00 gamma=90.00
Space group P4/mmm (No. 123)
One atom of each set of equivalent atoms:
Na (0.0000, 0.0000, 0.0000) (multiplicity 1)
Mg (0.0000, 0.0000, 0.5000) (multiplicity 1)
Mg (0.0000, 0.5000, 0.2625) (multiplicity 4)
Mg (0.5000, 0.5000, 0.5000) (multiplicity 1)
Sb (0.5000, 0.5000, 0.0000) (multiplicity 1)
O (0.0000, 0.0000, 0.2683) (multiplicity 2)
O (0.0000, 0.5000, 0.0000) (multiplicity 2)
O (0.0000, 0.5000, 0.5000) (multiplicity 2)
O (0.5000, 0.5000, 0.2647) (multiplicity 2)

Top 10 peaks for 2θ from 10° to 90°, in order of rising 2θ:
(1 0 0), d 4.425, 2θ = 20.1°, intensity 32
(1 0 1), d 3.957, 2θ = 22.5°, intensity 34
(1 0 2), d 3.129, 2θ = 28.5°, intensity 27
(0 0 3), d 2.951, 2θ = 30.3°, intensity 23
(1 1 2), d 2.555, 2θ = 35.1°, intensity 31
(2 0 0), d 2.213, 2θ = 40.8°, intensity 100
(1 0 4), d 1.979, 2θ = 45.9°, intensity 15
(2 1 2), d 1.807, 2θ = 50.5°, intensity 11
(2 2 0), d 1.565, 2θ = 59.0°, intensity 58
(2 2 4), d 1.277, 2θ = 74.2°, intensity 18

***

Record 12
# NaMg14SbO16
Calculated PXRD pattern, Cu Kα (λ = 1.5418 Å). Input: a cell relaxed with GGA-PBE.
Neutral-atom scattering factors, no anomalous dispersion.

Unit cell a=8.6781 b=8.6781 c=4.3652 alpha=90.00 beta=90.00 gamma=90.00
Space group P4/mmm (No. 123)
One atom of each set of equivalent atoms:
Na (0.0000, 0.0000, 0.0000) (multiplicity 1)
Mg (0.0000, 0.2445, 0.5000) (multiplicity 4)
Mg (0.0000, 0.5000, 0.0000) (multiplicity 2)
Mg (0.2355, 0.5000, 0.5000) (multiplicity 4)
Mg (0.2401, 0.2401, 0.0000) (multiplicity 4)
Sb (0.5000, 0.5000, 0.0000) (multiplicity 1)
O (0.0000, 0.0000, 0.5000) (multiplicity 1)
O (0.0000, 0.2637, 0.0000) (multiplicity 4)
O (0.0000, 0.5000, 0.5000) (multiplicity 2)
O (0.2396, 0.5000, 0.0000) (multiplicity 4)
O (0.2525, 0.2525, 0.5000) (multiplicity 4)
O (0.5000, 0.5000, 0.5000) (multiplicity 1)

Top 10 peaks for 2θ from 10° to 90°, in order of rising 2θ:
(1 0 0), d 8.678, 2θ = 10.2°, intensity 38
(1 0 1), d 3.900, 2θ = 22.8°, intensity 16
(2 1 0), d 3.881, 2θ = 22.9°, intensity 16
(3 0 0), d 2.898, 2θ = 30.9°, intensity 27
(2 2 1), d 2.510, 2θ = 35.8°, intensity 31
(0 0 2), d 2.183, 2θ = 41.4°, intensity 52
(4 0 0), d 2.170, 2θ = 41.6°, intensity 100
(4 0 2), d 1.539, 2θ = 60.1°, intensity 58
(4 4 0), d 1.534, 2θ = 60.3°, intensity 28
(4 4 2), d 1.255, 2θ = 75.8°, intensity 26

***

Please write out number 3 again, unchanged.
# NaMg6SbO8
Calculated PXRD pattern, Cu Kα (λ = 1.5418 Å). Input: a cell relaxed with GGA-PBE.
Neutral-atom scattering factors, no anomalous dispersion.

Unit cell a=4.4390 b=4.4390 c=8.9012 alpha=90.00 beta=90.00 gamma=90.00
Space group P4/mmm (No. 123)
One atom of each set of equivalent atoms:
Na (0.0000, 0.0000, 0.0000) (multiplicity 1)
Mg (0.0000, 0.5000, 0.2282) (multiplicity 4)
Mg (0.5000, 0.5000, 0.0000) (multiplicity 1)
Mg (0.5000, 0.5000, 0.5000) (multiplicity 1)
Sb (0.0000, 0.0000, 0.5000) (multiplicity 1)
O (0.0000, 0.0000, 0.2508) (multiplicity 2)
O (0.0000, 0.5000, 0.0000) (multiplicity 2)
O (0.0000, 0.5000, 0.5000) (multiplicity 2)
O (0.5000, 0.5000, 0.2532) (multiplicity 2)

Top 10 peaks for 2θ from 10° to 90°, in order of rising 2θ:
(0 0 2), d 4.443, 2θ = 20.0°, intensity 46
(1 0 1), d 3.972, 2θ = 22.4°, intensity 48
(1 1 0), d 3.142, 2θ = 28.4°, intensity 38
(0 0 3), d 2.962, 2θ = 30.2°, intensity 42
(1 1 2), d 2.565, 2θ = 35.0°, intensity 44
(0 0 4), d 2.225, 2θ = 40.5°, intensity 47
(2 0 0), d 2.220, 2θ = 40.6°, intensity 100
(1 1 4), d 1.814, 2θ = 50.3°, intensity 17
(2 2 0), d 1.571, 2θ = 58.8°, intensity 85
(2 2 4), d 1.283, 2θ = 73.9°, intensity 25